Starting from a structure optimized by DFT (GGA+U), the PXRD pattern of Li4V3CrO8 was computed for a wavelength of 1.5418 Å.
Peak positions follow from Bragg's law for the DFT cell and can differ from measured ones.

Principal peaks in the range 2θ from 15° to 90°, in order of rising 2θ:
2θ (°)	Rel. int.	(hkl)
18.2	100	1 0 0
35.2	14	-1 2 1
35.2	27	0 0 4
36.8	13	2 0 0
42.8	88	1 0 4
46.8	13	2 0 -4
62.1	32	1 -4 2
62.1	15	2 2 1
65.2	12	0 2 5
78.3	11	0 4 2

Structural model:
Cell lengths 5.1770, 5.9833, 10.7826 Å; angles 106.02, 94.59, 106.85 degrees
Fractional coordinates of all 32 atoms:
Li 0.9999 0.1879 0.1269
Li 0.0001 0.8121 0.8731
Li 0.0006 0.0647 0.3736
Li 0.0017 0.4403 0.6259
Li 0.0022 0.6898 0.1263
Li 0.9978 0.3102 0.8737
Li 0.9983 0.5597 0.3741
Li 0.9994 0.9353 0.6264
V 0.4986 0.7497 0.0001
V 0.5000 0.0000 0.5000
V 0.4998 0.3743 0.7497
V 0.5000 0.5000 0.5000
V 0.5002 0.6257 0.2503
V 0.5014 0.2503 0.9999
Cr 0.4990 0.8730 0.7499
Cr 0.5010 0.1270 0.2501
O 0.2703 0.6023 0.8144
O 0.2706 0.4739 0.0649
O 0.2721 0.2244 0.5641
O 0.2718 0.7212 0.5661
O 0.2732 0.0986 0.8126
O 0.2729 0.3493 0.3118
O 0.2726 0.8568 0.3158
O 0.2741 0.9759 0.0654
O 0.7259 0.0241 0.9346
O 0.7274 0.1432 0.6842
O 0.7271 0.6507 0.6882
O 0.7268 0.9014 0.1874
O 0.7282 0.2788 0.4339
O 0.7279 0.7756 0.4359
O 0.7294 0.5261 0.9351
O 0.7297 0.3977 0.1856